The following is a theoretical XRD peak list of Cu2RuRh. It was derived from a GGA-PBE-relaxed structure, using Cu Kα (weighted mean of Kα1 and Kα2).
No peak broadening, texture or thermal motion is included.

Top 10 peaks for 2θ from 10° to 90°, sorted by position:
- 2θ = 16.8°, I = 13
- 2θ = 41.3°, I = 100
- 2θ = 41.9°, I = 93
- 2θ = 48.2°, I = 61
- 2θ = 48.9°, I = 30
- 2θ = 71.1°, I = 36
- 2θ = 84.7°, I = 11
- 2θ = 84.8°, I = 11
- 2θ = 86.1°, I = 21
- 2θ = 86.6°, I = 11

Structure:
a = 2.6988 Å, b = 3.7277 Å, c = 5.2812 Å
α = 90.00°, β = 90.11°, γ = 90.00°
Fractional positions:
Cu (0.0000, 0.0000, 0.0000)
Cu (0.5000, 0.5000, 0.2216)
Ru (0.0000, 0.0000, 0.4986)
Rh (0.5009, 0.5000, 0.7216)